Computed XRD peak list of Li3FeP2O8 for Cu Kα X-rays, from a DFT-relaxed cell (GGA+U, Alexandria).

Structural model:
```
Li3FeP2O8
1.0
8.458 0.000 0.000
-4.229 7.325 0.000
0.000 0.000 7.130
Li Fe P O
9 3 6 24
direct
0.000 0.000 0.000
0.031 0.690 0.839
0.310 0.341 0.839
0.333 0.667 0.989
0.341 0.031 0.161
0.659 0.969 0.839
0.667 0.333 0.011
0.690 0.659 0.161
0.969 0.310 0.161
0.000 0.000 0.500
0.333 0.667 0.571
0.667 0.333 0.429
0.035 0.685 0.267
0.315 0.350 0.267
0.350 0.035 0.733
0.650 0.965 0.267
0.685 0.650 0.733
0.965 0.315 0.733
0.065 0.204 0.696
0.117 0.518 0.765
0.139 0.935 0.696
0.154 0.763 0.089
0.158 0.704 0.433
0.204 0.139 0.304
0.237 0.391 0.089
0.296 0.453 0.433
0.391 0.154 0.911
0.401 0.883 0.765
0.453 0.158 0.567
0.482 0.599 0.765
0.518 0.401 0.235
0.547 0.842 0.433
0.599 0.117 0.235
0.609 0.846 0.089
0.704 0.547 0.567
0.763 0.609 0.911
0.796 0.861 0.696
0.842 0.296 0.567
0.846 0.237 0.911
0.861 0.065 0.304
0.883 0.482 0.235
0.935 0.796 0.304
```

Peak list (12 most intense, 2θ from 10° to 90°, by angle)
2θ (°)	I/Imax
12.41	37
24.47	100
27.38	10
32.34	10
32.86	32
36.81	13
38.99	19
41.29	17
50.16	12
50.62	9
59.24	8
63.82	9